No. 1
Structure and calculated XRD peak list of Ti3Co20B6 (DFT lattice parameters and positions (PBE); Cu Kα).
Neutral-atom scattering factors, no anomalous dispersion.

Cell: 7.412 7.412 7.412 Å, 60.00 60.00 60.00°
Atoms (fractional coordinates):
Ti  0.000  0.000  0.000
Ti  0.250  0.250  0.250
Ti  0.750  0.750  0.750
Co  0.000  0.000  0.342
Co  0.000  0.000  0.658
Co  0.000  0.342  0.000
Co  0.000  0.342  0.658
Co  0.000  0.658  0.000
Co  0.000  0.658  0.342
Co  0.148  0.617  0.617
Co  0.342  0.000  0.000
Co  0.342  0.000  0.658
Co  0.342  0.658  0.000
Co  0.383  0.383  0.383
Co  0.383  0.383  0.852
Co  0.383  0.852  0.383
Co  0.617  0.148  0.617
Co  0.617  0.617  0.148
Co  0.617  0.617  0.617
Co  0.658  0.000  0.000
Co  0.658  0.000  0.342
Co  0.658  0.342  0.000
Co  0.852  0.383  0.383
B  0.272  0.272  0.728
B  0.272  0.728  0.272
B  0.272  0.728  0.728
B  0.728  0.272  0.272
B  0.728  0.272  0.728
B  0.728  0.728  0.272

Peak list (6 most intense, 2θ from 5° to 70°, in order of rising 2θ)
- 2θ 38.40, intensity 22
- 2θ 42.24, intensity 22
- 2θ 44.93, intensity 100
- 2θ 49.17, intensity 19
- 2θ 51.58, intensity 31
- 2θ 52.37, intensity 13


No. 2
Structure and calculated XRD peak list of Ba2TlHg4Bi2 (DFT lattice parameters and positions (PBE); Cu Kα).
Neutral-atom scattering factors, no anomalous dispersion.

Cell: 7.709 7.709 7.709 Å, 122.82 122.82 85.18°
Atoms (fractional coordinates):
Ba  0.250  0.750  0.500
Ba  0.750  0.250  0.500
Tl  0.000  0.000  0.000
Hg  0.289  0.289  0.579
Hg  0.289  0.711  0.000
Hg  0.711  0.289  0.000
Hg  0.711  0.711  0.421
Bi  0.275  0.275  0.000
Bi  0.725  0.725  0.000

Peak list (6 most intense, 2θ from 5° to 70°, in order of rising 2θ)
- 2θ 28.87, intensity 100
- 2θ 31.53, intensity 38
- 2θ 34.38, intensity 53
- 2θ 36.11, intensity 30
- 2θ 43.91, intensity 21
- 2θ 47.34, intensity 39


No. 3
Structure and calculated XRD peak list of Na8HfS6 (DFT lattice parameters and positions (PBE); Cu Kα).
Neutral-atom scattering factors, no anomalous dispersion.

Cell: 7.886 8.328 11.648 Å, 90.00 90.00 90.00°
Atoms (fractional coordinates):
Na  0.000  0.139  0.000
Na  0.000  0.228  0.443
Na  0.204  0.577  0.794
Na  0.206  0.699  0.111
Na  0.223  0.945  0.769
Na  0.277  0.055  0.269
Na  0.294  0.301  0.611
Na  0.296  0.423  0.294
Na  0.500  0.772  0.943
Na  0.500  0.861  0.500
Na  0.704  0.423  0.294
Na  0.706  0.301  0.611
Na  0.723  0.055  0.269
Na  0.777  0.945  0.769
Na  0.794  0.699  0.111
Na  0.796  0.577  0.794
Hf  0.000  0.738  0.468
Hf  0.500  0.262  0.968
S  0.000  0.258  0.221
S  0.000  0.497  0.587
S  0.000  0.786  0.932
S  0.000  0.976  0.584
S  0.243  0.742  0.346
S  0.257  0.258  0.846
S  0.500  0.024  0.084
S  0.500  0.214  0.432
S  0.500  0.503  0.087
S  0.500  0.742  0.721
S  0.743  0.258  0.846
S  0.757  0.742  0.346

Peak list (6 most intense, 2θ from 5° to 70°, in order of rising 2θ)
- 2θ 13.07, intensity 69
- 2θ 13.56, intensity 100
- 2θ 15.47, intensity 59
- 2θ 21.77, intensity 77
- 2θ 25.34, intensity 60
- 2θ 27.31, intensity 64


No. 4
Structure and calculated XRD peak list of Mg2ZnNi (DFT lattice parameters and positions (PBE); Cu Kα).
Neutral-atom scattering factors, no anomalous dispersion.

Cell: 3.101 3.101 6.882 Å, 90.00 90.00 90.00°
Atoms (fractional coordinates):
Mg  0.000  0.000  0.000
Mg  0.500  0.500  0.335
Zn  0.500  0.500  0.737
Ni  0.000  0.000  0.565

Peak list (6 most intense, 2θ from 5° to 70°, in order of rising 2θ)
- 2θ 12.86, intensity 100
- 2θ 39.10, intensity 84
- 2θ 41.17, intensity 48
- 2θ 43.31, intensity 20
- 2θ 49.42, intensity 29
- 2θ 59.63, intensity 15